Entry 1:
Tb4Pr6Tm: calculated X-ray powder pattern (Cu Kα), based on a crystal structure in Alexandria, relaxed with PBE.
Peak positions follow from Bragg's law for the DFT cell and can differ from measured ones.

Structural model:
a b c (Å): 6.8540 6.8540 16.4890
angles (deg): 90.00 90.00 90.00
Space group I-42m (No. 121)
Unique sites:
1 Tb 0.1748 0.1748 0.3872
2 Pr 0.0000 0.5000 0.0000
3 Pr 0.1916 0.1916 0.1784
4 Tm 0.0000 0.0000 0.0000

Peak list (12 most intense, 2θ from 10° to 80°, low angle first)
(hkl), two_theta, intensity
2 0 2, 28.2, 57.1
1 1 4, 28.4, 60.3
2 1 1, 29.6, 100.0
1 0 5, 30.1, 38.9
2 1 3, 33.5, 24.6
2 0 4, 34.0, 65.1
2 2 0, 37.1, 30.7
1 1 6, 37.6, 27.4
2 1 5, 40.2, 17.5
3 0 5, 48.5, 19.1
4 1 1, 55.6, 29.2
0 0 10, 55.8, 30.7

=====

Entry 2:
Cs3Rb2Cl: calculated X-ray powder pattern (Cu Kα), based on a crystal structure in Alexandria, relaxed with PBE.
Peak positions follow from Bragg's law for the DFT cell and can differ from measured ones.

Structural model:
a b c (Å): 16.5271 15.1172 8.7126
angles (deg): 90.00 99.51 90.00
Space group C2/c (No. 15)
Unique sites:
1 Cs 0.0000 0.2012 0.2500
2 Cs 0.1246 0.4163 0.6081
3 Rb 0.1503 0.1144 0.8243
4 Cl 0.0000 0.4317 0.2500

Peak list (12 most intense, 2θ from 10° to 80°, low angle first)
(hkl), two_theta, intensity
3 1 -1, 18.8, 100.0
2 2 1, 20.0, 82.1
0 0 2, 20.7, 28.5
1 1 -2, 21.3, 62.7
1 3 1, 21.6, 93.7
4 2 0, 24.8, 37.4
3 3 -1, 25.1, 40.8
2 4 -1, 27.3, 38.9
4 2 -3, 37.2, 28.2
0 4 3, 39.5, 26.4
3 5 2, 41.5, 26.2
5 5 -2, 43.8, 28.2

=====

Entry 3:
BaBi6Pd12: calculated X-ray powder pattern (Cu Kα), based on a crystal structure in Alexandria, relaxed with PBE.
Peak positions follow from Bragg's law for the DFT cell and can differ from measured ones.

Structural model:
a b c (Å): 12.0775 12.0775 9.9855
angles (deg): 90.00 90.00 120.00
Space group R-3m (No. 166, hexagonal axes)
Unique sites:
1 Ba 0.0000 0.0000 0.0000
2 Bi 0.0551 0.5276 0.2663
3 Pd 0.0000 0.3838 0.5000
4 Pd 0.0823 0.1646 0.2854

Peak list (12 most intense, 2θ from 10° to 80°, low angle first)
(hkl), two_theta, intensity
2 1 1, 24.2, 54.8
2 0 2, 24.7, 46.7
1 2 2, 28.8, 44.2
1 3 1, 32.1, 38.0
0 3 3, 37.4, 100.0
3 2 1, 38.6, 83.6
0 2 4, 40.0, 70.8
2 3 2, 41.8, 30.0
5 0 2, 47.1, 65.1
3 0 6, 61.8, 29.2
2 5 3, 62.0, 28.2
3 5 4, 73.9, 25.8

=====

Copy entry 3 word for word.
BaBi6Pd12: calculated X-ray powder pattern (Cu Kα), based on a crystal structure in Alexandria, relaxed with PBE.
Peak positions follow from Bragg's law for the DFT cell and can differ from measured ones.

Structural model:
a b c (Å): 12.0775 12.0775 9.9855
angles (deg): 90.00 90.00 120.00
Space group R-3m (No. 166, hexagonal axes)
Unique sites:
1 Ba 0.0000 0.0000 0.0000
2 Bi 0.0551 0.5276 0.2663
3 Pd 0.0000 0.3838 0.5000
4 Pd 0.0823 0.1646 0.2854

Peak list (12 most intense, 2θ from 10° to 80°, low angle first)
(hkl), two_theta, intensity
2 1 1, 24.2, 54.8
2 0 2, 24.7, 46.7
1 2 2, 28.8, 44.2
1 3 1, 32.1, 38.0
0 3 3, 37.4, 100.0
3 2 1, 38.6, 83.6
0 2 4, 40.0, 70.8
2 3 2, 41.8, 30.0
5 0 2, 47.1, 65.1
3 0 6, 61.8, 29.2
2 5 3, 62.0, 28.2
3 5 4, 73.9, 25.8